The following is a calculated powder diffractogram of LiCdCoAs. It was derived from a DFT-relaxed cell (PBE, OQMD), using a wavelength of 1.5418 Å.
Intensities are scaled so that the largest is 100.

Structural model:
```
data_LiCdCoAs
_chemical_formula_sum 'Li4 Cd4 Co4 As4'
_cell_length_a 6.149
_cell_length_b 6.149
_cell_length_c 6.149
_cell_angle_alpha 90.00
_cell_angle_beta 90.00
_cell_angle_gamma 90.00
_symmetry_space_group_name_H-M 'F -4 3 m'
_symmetry_Int_Tables_number 216
_symmetry_space_group_name_Hall 'F -4 2 3'
loop_
_atom_site_label
_atom_site_type_symbol
_atom_site_fract_x
_atom_site_fract_y
_atom_site_fract_z
Li1 Li 0.000 0.000 0.000
Cd1 Cd 0.250 0.250 0.750
Co1 Co 0.000 0.000 0.500
As1 As 0.250 0.250 0.250
```

The 8 most intense peaks (5 to 70 degrees two-theta), most intense first:
41.5°, rel. 100, (2 2 0); 29.0°, rel. 31, (2 0 0); 25.1°, rel. 18, (1 1 1); 60.2°, rel. 16, (4 0 0); 68.2°, rel. 11, (4 2 0); 51.5°, rel. 8, (2 2 2); 49.1°, rel. 8, (3 1 1); 66.3°, rel. 3, (3 3 1)

***

The following is a calculated powder diffractogram of NaCd2Co2As3. It was derived from a DFT-relaxed cell (PBE, OQMD), using a wavelength of 1.5418 Å.
Intensities are scaled so that the largest is 100.

Structural model:
```
data_NaCd2Co2As3
_chemical_formula_sum 'Na3 Cd6 Co6 As9'
_cell_length_a 3.7068
_cell_length_b 3.7068
_cell_length_c 39.6032
_cell_angle_alpha 90.00
_cell_angle_beta 90.00
_cell_angle_gamma 120.00
_symmetry_space_group_name_H-M 'R -3 m'
_symmetry_Int_Tables_number 166
_symmetry_space_group_name_Hall '-R 3 2"'
loop_
_atom_site_label
_atom_site_type_symbol
_atom_site_fract_x
_atom_site_fract_y
_atom_site_fract_z
Na1 Na 0.0000 0.0000 0.0000
Cd1 Cd 0.0000 0.0000 0.2119
Co1 Co 0.0000 0.0000 0.4060
As1 As 0.0000 0.0000 0.2817
As2 As 0.0000 0.0000 0.5000
```

The 8 most intense peaks (5 to 70 degrees two-theta), most intense first:
36.0°, rel. 100, (1 0 10); 49.2°, rel. 74, (1 1 0); 6.7°, rel. 63, (0 0 3); 29.2°, rel. 56, (1 0 4); 42.6°, rel. 55, (0 1 14); 28.2°, rel. 37, (0 1 2); 46.3°, rel. 30, (1 0 16); 30.0°, rel. 19, (0 1 5)

***

The following is a calculated powder diffractogram of CdCo6As3P. It was derived from a DFT-relaxed cell (PBE, OQMD), using a wavelength of 1.5418 Å.
Intensities are scaled so that the largest is 100.

Structural model:
```
data_CdCo6As3P
_chemical_formula_sum 'Cd1 Co6 As3 P1'
_cell_length_a 6.8229
_cell_length_b 6.8229
_cell_length_c 3.4563
_cell_angle_alpha 90.00
_cell_angle_beta 90.00
_cell_angle_gamma 120.00
_symmetry_space_group_name_H-M 'P -6 m 2'
_symmetry_Int_Tables_number 187
_symmetry_space_group_name_Hall 'P -6 2'
loop_
_atom_site_label
_atom_site_type_symbol
_atom_site_fract_x
_atom_site_fract_y
_atom_site_fract_z
Cd1 Cd 0.0000 0.0000 0.0000
Co1 Co 0.2051 0.4102 0.5000
Co2 Co 0.5301 0.0601 0.0000
As1 As 0.3775 0.1888 0.5000
P1 P 0.3333 0.6667 0.0000
```

The 8 most intense peaks (5 to 70 degrees two-theta), most intense first:
40.2°, rel. 100, (2 0 1); 40.4°, rel. 35, (2 1 0); 53.7°, rel. 27, (2 2 0); 48.5°, rel. 25, (2 1 1); 37.0°, rel. 24, (1 1 1); 53.0°, rel. 20, (0 0 2); 53.6°, rel. 14, (3 0 1); 68.7°, rel. 14, (2 1 2)

***

The following is a calculated powder diffractogram of CsMg3CdAs3. It was derived from a DFT-relaxed cell (PBE, OQMD), using a wavelength of 1.5418 Å.
Intensities are scaled so that the largest is 100.

Structural model:
```
data_CsMg3CdAs3
_chemical_formula_sum 'Cs1 Mg3 Cd1 As3'
_cell_length_a 4.496
_cell_length_b 4.521
_cell_length_c 10.902
_cell_angle_alpha 90.00
_cell_angle_beta 90.00
_cell_angle_gamma 90.00
_symmetry_space_group_name_H-M 'P m m 2'
_symmetry_Int_Tables_number 25
_symmetry_space_group_name_Hall 'P 2 -2'
loop_
_atom_site_label
_atom_site_type_symbol
_atom_site_fract_x
_atom_site_fract_y
_atom_site_fract_z
Cs1 Cs 0.000 0.000 0.000
Mg1 Mg 0.000 0.500 0.659
Mg2 Mg 0.500 0.000 0.345
Mg3 Mg 0.500 0.000 0.661
Cd1 Cd 0.000 0.500 0.346
As1 As 0.000 0.000 0.509
As2 As 0.500 0.500 0.212
As3 As 0.500 0.500 0.785
```

The 8 most intense peaks (5 to 70 degrees two-theta), most intense first:
25.6°, rel. 100, (0 1 2); 43.7°, rel. 35, (1 1 4); 29.2°, rel. 25, (1 1 1); 48.2°, rel. 21, (2 1 2); 39.9°, rel. 18, (0 2 0); 40.1°, rel. 18, (2 0 0); 37.5°, rel. 16, (1 1 3); 48.0°, rel. 15, (1 2 2)

***

The following is a calculated powder diffractogram of CsCdAsO. It was derived from a DFT-relaxed cell (PBE, OQMD), using a wavelength of 1.5418 Å.
Intensities are scaled so that the largest is 100.

Structural model:
```
data_CsCdAsO
_chemical_formula_sum 'Cs2 Cd2 As2 O2'
_cell_length_a 3.497
_cell_length_b 9.766
_cell_length_c 6.025
_cell_angle_alpha 90.00
_cell_angle_beta 90.00
_cell_angle_gamma 90.00
_symmetry_space_group_name_H-M 'P m c 21'
_symmetry_Int_Tables_number 26
_symmetry_space_group_name_Hall 'P 2c -2'
loop_
_atom_site_label
_atom_site_type_symbol
_atom_site_fract_x
_atom_site_fract_y
_atom_site_fract_z
Cs1 Cs 0.000 0.148 0.000
Cd1 Cd 0.500 0.268 0.497
As1 As 0.500 0.487 0.796
O1 O 0.000 0.140 0.502
```

The 8 most intense peaks (5 to 70 degrees two-theta), most intense first:
31.0°, rel. 100, (1 1 1); 27.1°, rel. 55, (1 1 0); 35.0°, rel. 42, (0 2 2); 23.5°, rel. 41, (0 2 1); 48.7°, rel. 38, (1 3 2); 45.3°, rel. 37, (1 4 0); 29.7°, rel. 28, (0 0 2); 31.2°, rel. 27, (0 3 1)

***

The following is a calculated powder diffractogram of Cs2Cd2AsP. It was derived from a DFT-relaxed cell (PBE, OQMD), using a wavelength of 1.5418 Å.
Intensities are scaled so that the largest is 100.

Structural model:
```
data_Cs2Cd2AsP
_chemical_formula_sum 'Cs2 Cd2 As1 P1'
_cell_length_a 4.635
_cell_length_b 4.635
_cell_length_c 8.890
_cell_angle_alpha 90.00
_cell_angle_beta 90.00
_cell_angle_gamma 90.00
_symmetry_space_group_name_H-M 'P 4 m m'
_symmetry_Int_Tables_number 99
_symmetry_space_group_name_Hall 'P 4 -2'
loop_
_atom_site_label
_atom_site_type_symbol
_atom_site_fract_x
_atom_site_fract_y
_atom_site_fract_z
Cs1 Cs 0.000 0.000 0.000
Cs2 Cs 0.500 0.500 0.314
Cd1 Cd 0.000 0.500 0.662
As1 As 0.000 0.000 0.480
P1 P 0.500 0.500 0.832
```

The 8 most intense peaks (5 to 70 degrees two-theta), most intense first:
27.8°, rel. 100, (1 0 2); 29.0°, rel. 90, (1 1 1); 34.0°, rel. 88, (1 1 2); 38.9°, rel. 67, (2 0 0); 9.9°, rel. 48, (0 0 1); 48.5°, rel. 42, (2 1 2); 49.6°, rel. 35, (1 1 4); 30.2°, rel. 27, (0 0 3)

***

The following is a calculated powder diffractogram of Cs2SrCdAs2. It was derived from a DFT-relaxed cell (PBE, OQMD), using a wavelength of 1.5418 Å.
Intensities are scaled so that the largest is 100.

Structural model:
```
data_Cs2SrCdAs2
_chemical_formula_sum 'Cs2 Sr1 Cd1 As2'
_cell_length_a 5.038
_cell_length_b 5.038
_cell_length_c 8.570
_cell_angle_alpha 90.00
_cell_angle_beta 90.00
_cell_angle_gamma 90.00
_symmetry_space_group_name_H-M 'P -4 m 2'
_symmetry_Int_Tables_number 115
_symmetry_space_group_name_Hall 'P -4 -2'
loop_
_atom_site_label
_atom_site_type_symbol
_atom_site_fract_x
_atom_site_fract_y
_atom_site_fract_z
Cs1 Cs 0.000 0.500 0.138
Sr1 Sr 0.500 0.500 0.500
Cd1 Cd 0.000 0.000 0.500
As1 As 0.000 0.500 0.693
```

The 8 most intense peaks (5 to 70 degrees two-theta), most intense first:
27.3°, rel. 100, (1 0 2); 27.1°, rel. 80, (1 1 1); 35.6°, rel. 73, (2 0 0); 32.7°, rel. 65, (1 1 2); 45.5°, rel. 49, (2 1 2); 49.7°, rel. 26, (1 1 4); 51.3°, rel. 25, (2 2 0); 25.0°, rel. 22, (1 1 0)

***

The following is a calculated powder diffractogram of CsZn2Cd2As3. It was derived from a DFT-relaxed cell (PBE, OQMD), using a wavelength of 1.5418 Å.
Intensities are scaled so that the largest is 100.

Structural model:
```
data_CsZn2Cd2As3
_chemical_formula_sum 'Cs1 Zn2 Cd2 As3'
_cell_length_a 4.343
_cell_length_b 4.494
_cell_length_c 10.902
_cell_angle_alpha 90.00
_cell_angle_beta 90.00
_cell_angle_gamma 90.00
_symmetry_space_group_name_H-M 'P m m m'
_symmetry_Int_Tables_number 47
_symmetry_space_group_name_Hall '-P 2 2'
loop_
_atom_site_label
_atom_site_type_symbol
_atom_site_fract_x
_atom_site_fract_y
_atom_site_fract_z
Cs1 Cs 0.000 0.000 0.000
Zn1 Zn 0.000 0.500 0.338
Cd1 Cd 0.500 0.000 0.342
As1 As 0.000 0.000 0.500
As2 As 0.500 0.500 0.208
```

The 8 most intense peaks (5 to 70 degrees two-theta), most intense first:
26.2°, rel. 100, (1 0 2); 38.0°, rel. 100, (1 1 3); 44.1°, rel. 98, (1 1 4); 29.8°, rel. 91, (1 1 1); 25.7°, rel. 76, (0 1 2); 40.1°, rel. 63, (0 2 0); 8.1°, rel. 60, (0 0 1); 41.6°, rel. 57, (2 0 0)

***

The following is a calculated powder diffractogram of CsZn2Cd2As3. It was derived from a DFT-relaxed cell (PBE, OQMD), using a wavelength of 1.5418 Å.
Intensities are scaled so that the largest is 100.

Structural model:
```
data_CsZn2Cd2As3
_chemical_formula_sum 'Cs1 Zn2 Cd2 As3'
_cell_length_a 4.421
_cell_length_b 4.421
_cell_length_c 10.812
_cell_angle_alpha 90.00
_cell_angle_beta 90.00
_cell_angle_gamma 90.00
_symmetry_space_group_name_H-M 'P 4 m m'
_symmetry_Int_Tables_number 99
_symmetry_space_group_name_Hall 'P 4 -2'
loop_
_atom_site_label
_atom_site_type_symbol
_atom_site_fract_x
_atom_site_fract_y
_atom_site_fract_z
Cs1 Cs 0.000 0.000 0.000
Zn1 Zn 0.000 0.500 0.334
Cd1 Cd 0.000 0.500 0.649
As1 As 0.000 0.000 0.476
As2 As 0.500 0.500 0.214
As3 As 0.500 0.500 0.795
```

The 8 most intense peaks (5 to 70 degrees two-theta), most intense first:
26.0°, rel. 100, (1 0 2); 40.8°, rel. 70, (2 0 0); 44.3°, rel. 60, (1 1 4); 29.7°, rel. 59, (1 1 1); 38.1°, rel. 55, (1 1 3); 8.2°, rel. 46, (0 0 1); 49.1°, rel. 35, (2 1 2); 33.1°, rel. 28, (1 1 2)

***

The following is a calculated powder diffractogram of CsZn3CdAs3. It was derived from a DFT-relaxed cell (PBE, OQMD), using a wavelength of 1.5418 Å.
Intensities are scaled so that the largest is 100.

Structural model:
```
data_CsZn3CdAs3
_chemical_formula_sum 'Cs1 Zn3 Cd1 As3'
_cell_length_a 4.281
_cell_length_b 4.355
_cell_length_c 10.821
_cell_angle_alpha 90.00
_cell_angle_beta 90.00
_cell_angle_gamma 90.00
_symmetry_space_group_name_H-M 'P m m 2'
_symmetry_Int_Tables_number 25
_symmetry_space_group_name_Hall 'P 2 -2'
loop_
_atom_site_label
_atom_site_type_symbol
_atom_site_fract_x
_atom_site_fract_y
_atom_site_fract_z
Cs1 Cs 0.000 0.000 0.000
Zn1 Zn 0.000 0.500 0.341
Zn2 Zn 0.000 0.500 0.657
Zn3 Zn 0.500 0.000 0.336
Cd1 Cd 0.500 0.000 0.645
As1 As 0.000 0.000 0.484
As2 As 0.500 0.500 0.215
As3 As 0.500 0.500 0.787
```

The 8 most intense peaks (5 to 70 degrees two-theta), most intense first:
44.8°, rel. 100, (1 1 4); 26.6°, rel. 93, (1 0 2); 26.3°, rel. 89, (0 1 2); 30.4°, rel. 79, (1 1 1); 38.6°, rel. 73, (1 1 3); 41.5°, rel. 53, (0 2 0); 8.2°, rel. 52, (0 0 1); 42.2°, rel. 50, (2 0 0)

***

The following is a calculated powder diffractogram of KCd2Cu2As3. It was derived from a DFT-relaxed cell (PBE, OQMD), using a wavelength of 1.5418 Å.
Intensities are scaled so that the largest is 100.

Structural model:
```
data_KCd2Cu2As3
_chemical_formula_sum 'K3 Cd6 Cu6 As9'
_cell_length_a 4.0736
_cell_length_b 4.0736
_cell_length_c 39.1538
_cell_angle_alpha 90.00
_cell_angle_beta 90.00
_cell_angle_gamma 120.00
_symmetry_space_group_name_H-M 'R -3 m'
_symmetry_Int_Tables_number 166
_symmetry_space_group_name_Hall '-R 3 2"'
loop_
_atom_site_label
_atom_site_type_symbol
_atom_site_fract_x
_atom_site_fract_y
_atom_site_fract_z
K1 K 0.0000 0.0000 0.0000
Cd1 Cd 0.0000 0.0000 0.2045
Cu1 Cu 0.0000 0.0000 0.4055
As1 As 0.0000 0.0000 0.2721
As2 As 0.0000 0.0000 0.5000
```

The 8 most intense peaks (5 to 70 degrees two-theta), most intense first:
34.2°, rel. 100, (1 0 10); 44.5°, rel. 99, (1 1 0); 6.8°, rel. 91, (0 0 3); 57.3°, rel. 61, (0 2 10); 26.9°, rel. 59, (1 0 4); 27.7°, rel. 47, (0 1 5); 39.3°, rel. 38, (1 0 13); 25.7°, rel. 32, (0 1 2)